Starting from a DFT-relaxed cell (GGA-PBE, the Materials Project), the powder X-ray diffraction pattern of Pr2Cu4Sn5 was calculated for Cu Kα X-rays.

Crystal structure
```
data_Pr2Cu4Sn5
_cell_length_a 4.531
_cell_length_b 4.531
_cell_length_c 24.602
_cell_angle_alpha 90.00
_cell_angle_beta 90.00
_cell_angle_gamma 90.00
_symmetry_space_group_name_H-M 'I 4 m m'
_symmetry_Int_Tables_number 107
_symmetry_space_group_name_Hall 'I 4 -2'
loop_
_atom_site_label
_atom_site_fract_x
_atom_site_fract_y
_atom_site_fract_z
_atom_site_occupancy
Pr1 0.000 0.000 0.000 1
Pr2 0.000 0.000 0.317 1
Cu1 0.000 0.000 0.449 1
Cu2 0.000 0.000 0.546 1
Cu3 0.000 0.500 0.410 1
Sn1 0.000 0.000 0.851 1
Sn2 0.000 0.500 0.104 1
Sn3 0.000 0.500 0.220 1
```

Largest 10 diffraction maxima, sorted by position, 15° ≤ 2θ ≤ 90°:
Position (°2θ)  d (Å)  Rel. int.
28.79  3.100  72
31.48  2.842  41
32.23  2.777  33
35.56  2.525  100
38.46  2.341  20
39.79  2.266  91
46.54  1.951  23
55.11  1.667  21
57.53  1.602  31
69.49  1.353  29